# 1
For LiThP2Pt7, a structure optimized by DFT (GGA-PBE) gives the theoretical XRD peak list in this record (Cu Kα, 1.54184 Å).
Intensities are scaled so that the largest is 100.

Structure:
```
data_LiThP2Pt7
_chemical_formula_sum 'Li2 Th2 P4 Pt14'
_space_group_name_H-M_alt 'I -4 m 2'
_space_group_IT_number 119
_space_group_name_Hall 'I -4 -2'
_cell_length_a 4.2017
_cell_length_b 4.2017
_cell_length_c 24.1369
_cell_angle_alpha 90.00
_cell_angle_beta 90.00
_cell_angle_gamma 90.00
loop_
_atom_site_label
_atom_site_fract_x
_atom_site_fract_y
_atom_site_fract_z
Li1 0.0000 0.0000 0.0000
Th1 0.0000 0.5000 0.7500
P1 0.0000 0.5000 0.1102
Pt1 0.0000 0.0000 0.1591
Pt2 0.0000 0.0000 0.3402
Pt3 0.0000 0.5000 0.0202
Pt4 0.0000 0.5000 0.2500
```

Largest 10 diffraction maxima, by angle, 5° ≤ 2θ ≤ 70°:
d (Å)  I_rel  (hkl)
12.068  63  0 0 2
4.023  16  0 0 6
2.665  100  1 1 4
2.414  10  0 0 10
2.390  42  1 1 6
2.117  22  1 1 8
2.101  46  2 0 0
1.585  11  2 0 10
1.486  15  2 2 0
1.453  12  2 0 12

# 2
For Y3TlNi8, a structure optimized by DFT (GGA-PBE) gives the theoretical XRD peak list in this record (Cu Kα, 1.54184 Å).
Intensities are scaled so that the largest is 100.

Structure:
```
data_Y3TlNi8
_chemical_formula_sum 'Y9 Tl3 Ni24'
_space_group_name_H-M_alt 'R 3 m'
_space_group_IT_number 160
_space_group_name_Hall 'R 3 -2"'
_cell_length_a 5.0548
_cell_length_b 5.0548
_cell_length_c 24.8651
_cell_angle_alpha 90.00
_cell_angle_beta 90.00
_cell_angle_gamma 120.00
loop_
_atom_site_label
_atom_site_fract_x
_atom_site_fract_y
_atom_site_fract_z
Y1 0.0000 0.0000 0.0000
Y2 0.0000 0.0000 0.1278
Y3 0.0000 0.0000 0.5091
Tl1 0.0000 0.0000 0.6319
Ni1 0.0000 0.0000 0.3165
Ni2 0.0000 0.0000 0.8162
Ni3 0.0009 0.5004 0.0674
Ni4 0.1682 0.3364 0.8991
```

Largest 10 diffraction maxima, by angle, 5° ≤ 2θ ≤ 70°:
d (Å)  I_rel  (hkl)
8.288  10  0 0 3
4.133  8  0 1 2
2.531  65  1 1 0
2.159  100  1 1 6
2.156  33  2 0 2
2.072  9  0 0 12
2.065  22  0 2 4
1.460  17  3 0 0
1.378  22  2 0 14
1.376  15  0 3 6

# 3
For LiAlPb, a structure optimized by DFT (GGA-PBE) gives the theoretical XRD peak list in this record (Cu Kα, 1.54184 Å).
Intensities are scaled so that the largest is 100.

Structure:
```
data_LiAlPb
_chemical_formula_sum 'Li6 Al6 Pb6'
_space_group_name_H-M_alt 'I m m 2'
_space_group_IT_number 44
_cell_length_a 4.5996
_cell_length_b 14.2530
_cell_length_c 6.6996
_cell_angle_alpha 90.00
_cell_angle_beta 90.00
_cell_angle_gamma 90.00
loop_
_space_group_symop_operation_xyz
'x,y,z'
'-x,-y,z'
'-x,y,z'
'x,-y,z'
'x+1/2,y+1/2,z+1/2'
'-x+1/2,-y+1/2,z+1/2'
'-x+1/2,y+1/2,z+1/2'
'x+1/2,-y+1/2,z+1/2'
loop_
_atom_site_label
_atom_site_fract_x
_atom_site_fract_y
_atom_site_fract_z
Li1 0.0000 0.0000 0.0000
Li2 0.0000 0.3305 0.4785
Al1 0.0000 0.0000 0.4774
Al2 0.0000 0.3327 0.9839
Pb1 0.0000 0.1671 0.2342
Pb2 0.0000 0.5000 0.2319
```

Largest 10 diffraction maxima, by angle, 5° ≤ 2θ ≤ 70°:
d (Å)  I_rel  (hkl)
3.875  100  0 3 1
3.792  96  1 0 1
3.350  25  0 0 2
3.305  48  1 3 0
2.375  19  0 6 0
2.353  74  1 3 2
2.300  17  2 0 0
2.021  18  0 3 3
2.012  53  1 6 1
1.978  33  2 3 1

# 4
For LaPr14Nd, a structure optimized by DFT (GGA-PBE) gives the theoretical XRD peak list in this record (Cu Kα, 1.54184 Å).
Intensities are scaled so that the largest is 100.

Structure:
```
data_LaPr14Nd
_chemical_formula_sum 'La2 Pr28 Nd2'
_space_group_name_H-M_alt 'A m m 2'
_space_group_IT_number 38
_cell_length_a 10.5405
_cell_length_b 10.4874
_cell_length_c 10.4968
_cell_angle_alpha 90.00
_cell_angle_beta 90.00
_cell_angle_gamma 90.00
loop_
_space_group_symop_operation_xyz
'x,y,z'
'-x,-y,z'
'-x,y,z'
'x,-y,z'
'x,y+1/2,z+1/2'
'-x,-y+1/2,z+1/2'
'-x,y+1/2,z+1/2'
'x,-y+1/2,z+1/2'
loop_
_atom_site_label
_atom_site_fract_x
_atom_site_fract_y
_atom_site_fract_z
La1 0.0000 0.0000 0.0000
Pr1 0.0000 0.2494 0.2506
Pr2 0.2501 0.0000 0.2510
Pr3 0.2501 0.0000 0.7500
Pr4 0.2501 0.2504 0.0005
Pr5 0.5000 0.0000 0.0011
Pr6 0.5000 0.0000 0.5002
Pr7 0.5000 0.2495 0.7506
Nd1 0.0000 0.0000 0.5011
```

Largest 8 diffraction maxima, by angle, 5° ≤ 2θ ≤ 70°:
d (Å)  I_rel  (hkl)
3.033  100  2 2 2
2.635  17  4 0 0
2.623  34  0 4 0
1.859  24  4 4 0
1.855  12  0 4 4
1.588  15  6 2 2
1.582  29  2 6 2
1.517  13  4 4 4

# 5
For Cd3PCl3, a structure optimized by DFT (GGA-PBE) gives the theoretical XRD peak list in this record (Cu Kα, 1.54184 Å).
Intensities are scaled so that the largest is 100.

Structure:
```
data_Cd3PCl3
_chemical_formula_sum 'Cd6 P2 Cl6'
_space_group_name_H-M_alt 'P -3 m 1'
_space_group_IT_number 164
_space_group_name_Hall '-P 3 2"'
_cell_length_a 7.7770
_cell_length_b 7.7770
_cell_length_c 7.2290
_cell_angle_alpha 90.00
_cell_angle_beta 90.00
_cell_angle_gamma 120.00
loop_
_atom_site_label
_atom_site_fract_x
_atom_site_fract_y
_atom_site_fract_z
Cd1 0.0000 0.0000 0.0000
Cd2 0.0000 0.5000 0.5000
Cd3 0.3333 0.6667 0.0124
P1 0.3333 0.6667 0.3562
Cl1 0.1708 0.3415 0.8074
```

Largest 10 diffraction maxima, by angle, 5° ≤ 2θ ≤ 70°:
d (Å)  I_rel  (hkl)
4.928  34  1 0 1
3.615  31  0 0 2
3.425  100  1 1 1
3.053  90  0 2 1
2.464  52  2 0 2
2.144  28  0 3 1
2.048  49  1 1 3
1.944  58  2 2 0
1.712  23  2 2 2
1.643  23  3 0 3

# 6
For TmZr3Ir4, a structure optimized by DFT (GGA-PBE) gives the theoretical XRD peak list in this record (Cu Kα, 1.54184 Å).
Intensities are scaled so that the largest is 100.

Structure:
```
data_TmZr3Ir4
_chemical_formula_sum 'Tm2 Zr6 Ir8'
_space_group_name_H-M_alt 'P m m a'
_space_group_IT_number 51
_cell_length_a 9.6819
_cell_length_b 6.2710
_cell_length_c 4.8425
_cell_angle_alpha 90.00
_cell_angle_beta 90.00
_cell_angle_gamma 90.00
loop_
_space_group_symop_operation_xyz
'x,y,z'
'-x,-y,-z'
'-x+1/2,-y,z'
'x+1/2,y,-z'
'x+1/2,-y,-z'
'-x+1/2,y,z'
'-x,y,-z'
'x,-y,z'
loop_
_atom_site_label
_atom_site_fract_x
_atom_site_fract_y
_atom_site_fract_z
Tm1 0.0000 0.0000 0.0000
Zr1 0.0000 0.5000 0.0000
Zr2 0.2500 0.0000 0.4809
Zr3 0.2500 0.5000 0.4792
Ir1 0.0000 0.2560 0.5000
Ir2 0.2500 0.2556 0.9734
```

Largest 10 diffraction maxima, by angle, 5° ≤ 2θ ≤ 70°:
d (Å)  I_rel  (hkl)
3.424  9  2 0 1
3.136  4  0 2 0
2.421  57  4 0 0
2.312  100  2 2 1
1.916  4  4 2 0
1.712  19  4 0 2
1.568  8  0 4 0
1.531  2  6 0 1
1.503  2  4 2 2
1.376  37  6 2 1

# 7
For AcNd2DyP4, a structure optimized by DFT (GGA-PBE) gives the theoretical XRD peak list in this record (Cu Kα, 1.54184 Å).
Intensities are scaled so that the largest is 100.

Structure:
```
data_AcNd2DyP4
_chemical_formula_sum 'Ac1 Nd2 Dy1 P4'
_space_group_name_H-M_alt 'P 1 2/m 1'
_space_group_IT_number 10
_cell_length_a 7.2812
_cell_length_b 4.2049
_cell_length_c 7.2814
_cell_angle_alpha 90.00
_cell_angle_beta 109.35
_cell_angle_gamma 90.00
loop_
_space_group_symop_operation_xyz
'x,y,z'
'-x,-y,-z'
'-x,y,-z'
'x,-y,z'
loop_
_atom_site_label
_atom_site_fract_x
_atom_site_fract_y
_atom_site_fract_z
Ac1 0.0000 0.0000 0.0000
Nd1 0.0000 0.5000 0.5000
Nd2 0.5000 0.0000 0.5000
Dy1 0.5000 0.5000 0.0000
P1 0.2607 0.0000 0.7517
P2 0.2629 0.5000 0.2562
```

Largest 10 diffraction maxima, by angle, 5° ≤ 2θ ≤ 70°:
d (Å)  I_rel  (hkl)
6.870  4  0 0 1
3.434  90  2 0 0
2.974  100  1 1 1
2.103  74  0 2 0
1.793  46  3 1 1
1.717  26  0 0 4
1.488  8  2 2 2
1.485  4  4 0 -4
1.365  12  4 0 2
1.364  6  4 2 -2

# 8
For Pm3Ag2, a structure optimized by DFT (GGA-PBE) gives the theoretical XRD peak list in this record (Cu Kα, 1.54184 Å).
Intensities are scaled so that the largest is 100.

Structure:
```
data_Pm3Ag2
_chemical_formula_sum 'Pm6 Ag4'
_space_group_name_H-M_alt 'P 4/m m m'
_space_group_IT_number 123
_space_group_name_Hall '-P 4 2'
_cell_length_a 3.7049
_cell_length_b 3.7049
_cell_length_c 20.1633
_cell_angle_alpha 90.00
_cell_angle_beta 90.00
_cell_angle_gamma 90.00
loop_
_atom_site_label
_atom_site_fract_x
_atom_site_fract_y
_atom_site_fract_z
Pm1 0.0000 0.0000 0.0000
Pm2 0.0000 0.0000 0.1878
Pm3 0.0000 0.0000 0.3740
Pm4 0.5000 0.5000 0.5000
Ag1 0.5000 0.5000 0.0940
Ag2 0.5000 0.5000 0.2809
```

Largest 10 diffraction maxima, by angle, 5° ≤ 2θ ≤ 70°:
d (Å)  I_rel  (hkl)
2.985  8  1 0 4
2.728  100  1 0 5
2.620  57  1 1 0
2.489  15  1 0 6
1.852  20  2 0 0
1.598  8  1 1 10
1.533  34  2 1 5
1.502  9  1 1 11
1.486  6  2 1 6
1.364  5  2 0 10

# 9
For KThMnTe4, a structure optimized by DFT (GGA-PBE) gives the theoretical XRD peak list in this record (Cu Kα, 1.54184 Å).
Intensities are scaled so that the largest is 100.

Structure:
```
data_KThMnTe4
_chemical_formula_sum 'K2 Th2 Mn2 Te8'
_space_group_name_H-M_alt 'P 1 21/m 1'
_space_group_IT_number 11
_cell_length_a 7.7846
_cell_length_b 6.4772
_cell_length_c 10.2388
_cell_angle_alpha 90.00
_cell_angle_beta 108.52
_cell_angle_gamma 90.00
loop_
_space_group_symop_operation_xyz
'x,y,z'
'-x,-y,-z'
'-x,y+1/2,-z'
'x,-y+1/2,z'
loop_
_atom_site_label
_atom_site_fract_x
_atom_site_fract_y
_atom_site_fract_z
K1 0.2430 0.2500 0.4457
Th1 0.2354 0.2500 0.9420
Mn1 0.2416 0.7500 0.1779
Te1 0.0554 0.7500 0.3503
Te2 0.0692 0.7500 0.9075
Te3 0.4779 0.5085 0.7895
```

Largest 10 diffraction maxima, by angle, 5° ≤ 2θ ≤ 70°:
d (Å)  I_rel  (hkl)
9.709  100  0 0 1
4.771  16  1 1 -1
3.569  30  1 0 2
3.527  35  2 0 -2
3.127  36  1 1 2
3.097  25  2 1 -2
2.966  41  1 2 0
2.691  39  0 2 2
2.560  20  1 0 -4
2.389  17  2 1 2

Q: What is the formula in the third record?
A: LiAlPb